[1]
# In4Hg4Pb3
Calculated powder diffractogram, Cu Kα (λ = 1.5418 Å). Input: a structure optimized by DFT (PBE).

The 8 most intense peaks (5° ≤ 2θ ≤ 70°), most intense first:
2θ = 32.93°, I 100
2θ = 37.79°, I 17
2θ = 38.04°, I 17
2θ = 38.80°, I 17
2θ = 66.55°, I 13
2θ = 65.17°, I 13
2θ = 55.27°, I 11
2θ = 55.46°, I 11

Structural model:
a b c (Å): 9.463 7.510 7.510
angles (deg): 36.00 90.00 90.00
Fractional positions:
In  0.000  0.000  0.000
In  0.234  0.491  0.491
In  0.500  0.974  0.974
In  0.766  0.491  0.491
Hg  0.000  0.311  0.311
Hg  0.232  0.149  0.149
Hg  0.500  0.322  0.322
Hg  0.768  0.149  0.149
Pb  0.231  0.813  0.813
Pb  0.500  0.646  0.646
Pb  0.769  0.813  0.813

---

[2]
# Tb2Cd5Hg12
Calculated powder diffractogram, Cu Kα (λ = 1.5418 Å). Input: a structure optimized by DFT (PBE).

The 8 most intense peaks (5° ≤ 2θ ≤ 70°), most intense first:
2θ = 35.52°, I 100
2θ = 34.22°, I 53
2θ = 35.93°, I 49
2θ = 33.33°, I 27
2θ = 28.36°, I 25
2θ = 37.61°, I 24
2θ = 34.78°, I 19
2θ = 31.46°, I 15

Structural model:
a b c (Å): 10.275 10.275 5.377
angles (deg): 104.40 104.40 61.33
Fractional positions:
Tb  0.234  0.766  0.000
Tb  0.766  0.234  0.000
Cd  0.000  0.000  0.500
Cd  0.201  0.201  0.612
Cd  0.299  0.299  0.196
Cd  0.701  0.701  0.804
Cd  0.799  0.799  0.388
Hg  0.090  0.530  0.803
Hg  0.113  0.113  0.054
Hg  0.151  0.645  0.390
Hg  0.355  0.849  0.610
Hg  0.446  0.446  0.712
Hg  0.470  0.910  0.197
Hg  0.530  0.090  0.803
Hg  0.554  0.554  0.288
Hg  0.645  0.151  0.390
Hg  0.849  0.355  0.610
Hg  0.887  0.887  0.946
Hg  0.910  0.470  0.197

---

[3]
# Ga6Ag
Calculated powder diffractogram, Cu Kα (λ = 1.5418 Å). Input: a structure optimized by DFT (PBE).

The 8 most intense peaks (5° ≤ 2θ ≤ 70°), most intense first:
2θ = 38.34°, I 100
2θ = 44.53°, I 33
2θ = 64.86°, I 29
2θ = 44.64°, I 15
2θ = 33.05°, I 14
2θ = 10.90°, I 13
2θ = 21.84°, I 9
2θ = 31.12°, I 8

Structural model:
a b c (Å): 4.069 4.069 8.119
angles (deg): 90.00 90.00 90.00
Fractional positions:
Ga  0.000  0.000  0.000
Ga  0.000  0.500  0.236
Ga  0.000  0.500  0.764
Ga  0.500  0.000  0.236
Ga  0.500  0.000  0.764
Ga  0.500  0.500  0.500
Ag  0.000  0.000  0.500

---

[4]
# PuPb2Au9
Calculated powder diffractogram, Cu Kα (λ = 1.5418 Å). Input: a structure optimized by DFT (PBE).

The 8 most intense peaks (5° ≤ 2θ ≤ 70°), most intense first:
2θ = 37.08°, I 100
2θ = 36.81°, I 31
2θ = 40.12°, I 29
2θ = 38.31°, I 26
2θ = 59.94°, I 25
2θ = 66.02°, I 25
2θ = 31.61°, I 24
2θ = 31.26°, I 16

Structural model:
a b c (Å): 9.949 9.949 9.949
angles (deg): 33.05 33.05 33.05
Fractional positions:
Pu  0.000  0.000  0.000
Pb  0.144  0.144  0.144
Pb  0.856  0.856  0.856
Au  0.081  0.584  0.584
Au  0.333  0.333  0.333
Au  0.416  0.416  0.919
Au  0.416  0.919  0.416
Au  0.500  0.500  0.500
Au  0.584  0.081  0.584
Au  0.584  0.584  0.081
Au  0.667  0.667  0.667
Au  0.919  0.416  0.416

---

[5]
# La12ScCo7
Calculated powder diffractogram, Cu Kα (λ = 1.5418 Å). Input: a structure optimized by DFT (PBE).

The 8 most intense peaks (5° ≤ 2θ ≤ 70°), most intense first:
2θ = 32.31°, I 100
2θ = 27.19°, I 63
2θ = 44.53°, I 51
2θ = 29.90°, I 26
2θ = 54.56°, I 24
2θ = 56.08°, I 16
2θ = 48.15°, I 14
2θ = 38.88°, I 13

Structural model:
a b c (Å): 8.984 8.984 8.984
angles (deg): 109.53 109.53 109.53
Fractional positions:
La  0.096  0.666  0.236
La  0.129  0.339  0.414
La  0.236  0.096  0.666
La  0.334  0.764  0.904
La  0.339  0.414  0.129
La  0.414  0.129  0.339
La  0.586  0.871  0.661
La  0.661  0.586  0.871
La  0.666  0.236  0.096
La  0.764  0.904  0.334
La  0.871  0.661  0.586
La  0.904  0.334  0.764
Sc  0.000  0.000  0.000
Co  0.041  0.719  0.950
Co  0.050  0.959  0.281
Co  0.281  0.050  0.959
Co  0.500  0.500  0.500
Co  0.719  0.950  0.041
Co  0.950  0.041  0.719
Co  0.959  0.281  0.050

---

[6]
# Ho3Al8Ag
Calculated powder diffractogram, Cu Kα (λ = 1.5418 Å). Input: a structure optimized by DFT (PBE).

The 8 most intense peaks (5° ≤ 2θ ≤ 70°), most intense first:
2θ = 32.55°, I 100
2θ = 38.35°, I 79
2θ = 19.77°, I 63
2θ = 58.04°, I 28
2θ = 61.95°, I 24
2θ = 38.44°, I 21
2θ = 68.09°, I 11
2θ = 51.14°, I 11

Structural model:
a b c (Å): 9.509 9.509 9.509
angles (deg): 33.67 33.67 33.67
Fractional positions:
Ho  0.000  0.000  0.000
Ho  0.129  0.129  0.129
Ho  0.620  0.620  0.620
Al  0.060  0.564  0.564
Al  0.063  0.063  0.567
Al  0.063  0.567  0.063
Al  0.313  0.313  0.313
Al  0.564  0.060  0.564
Al  0.564  0.564  0.060
Al  0.567  0.063  0.063
Al  0.814  0.814  0.814
Ag  0.492  0.492  0.492